# Mg3ScPb3
Calculated powder X-ray diffraction pattern, Cu Kα X-rays. Input: the PBE geometry in Alexandria.
Kinematic intensities with the Lorentz-polarization factor, no thermal factor.

Main lines, sorted by position (2θ from 15° to 90°):
- 22.92 deg, I 25
- 25.65 deg, I 43
- 26.31 deg, I 14
- 29.89 deg, I 15
- 34.67 deg, I 100
- 38.43 deg, I 14
- 41.98 deg, I 12
- 45.22 deg, I 11
- 62.13 deg, I 26
- 73.16 deg, I 11

a b c (Å): 9.3701 10.3460 7.7595
angles (deg): 90.00 90.00 90.00
Space group Cmmm (No. 65)
One atom of each set of equivalent atoms:
Mg 0.0000 0.2480 0.0000 (multiplicity 4)
Mg 0.1805 0.0000 0.5000 (multiplicity 4)
Mg 0.1869 0.0000 0.0000 (multiplicity 4)
Sc 0.0000 0.2751 0.5000 (multiplicity 4)
Pb 0.0000 0.5000 0.2343 (multiplicity 4)
Pb 0.2500 0.2500 0.2494 (multiplicity 8)

# Mg2ScPb2
Calculated powder X-ray diffraction pattern, Cu Kα X-rays. Input: the PBE geometry in Alexandria.
Kinematic intensities with the Lorentz-polarization factor, no thermal factor.

Main lines, sorted by position (2θ from 15° to 90°):
- 20.64 deg, I 24
- 21.83 deg, I 100
- 29.79 deg, I 86
- 35.41 deg, I 43
- 36.15 deg, I 76
- 41.66 deg, I 21
- 46.63 deg, I 29
- 47.52 deg, I 24
- 61.14 deg, I 23
- 71.08 deg, I 22

a b c (Å): 4.9690 4.9690 12.5485
angles (deg): 90.00 90.00 120.00
Space group P6_3/mmc (No. 194)
One atom of each set of equivalent atoms:
Mg 0.0000 0.0000 0.0000 (multiplicity 2)
Mg 0.3333 0.6667 0.2500 (multiplicity 2)
Sc 0.0000 0.0000 0.2500 (multiplicity 2)
Pb 0.3333 0.6667 0.6200 (multiplicity 4)

# MgSc5Pb
Calculated powder X-ray diffraction pattern, Cu Kα X-rays. Input: the PBE geometry in Alexandria.
Kinematic intensities with the Lorentz-polarization factor, no thermal factor.

Main lines, sorted by position (2θ from 15° to 90°):
- 15.69 deg, I 100
- 17.09 deg, I 38
- 23.64 deg, I 27
- 25.65 deg, I 37
- 31.68 deg, I 47
- 33.10 deg, I 30
- 34.59 deg, I 28
- 36.08 deg, I 39
- 36.35 deg, I 67
- 40.68 deg, I 25

a b c (Å): 7.8461 8.5430 10.8170
angles (deg): 90.00 106.37 90.00
Space group C2/c (No. 15)
One atom of each set of equivalent atoms:
Mg 0.0000 0.0000 0.0000 (multiplicity 4)
Sc 0.0000 0.1329 0.2500 (multiplicity 4)
Sc 0.1152 0.3565 0.5309 (multiplicity 8)
Sc 0.2042 0.2032 0.8429 (multiplicity 8)
Pb 0.0000 0.4868 0.2500 (multiplicity 4)

# Mg2Sc3Pb3
Calculated powder X-ray diffraction pattern, Cu Kα X-rays. Input: the PBE geometry in Alexandria.
Kinematic intensities with the Lorentz-polarization factor, no thermal factor.

Main lines, sorted by position (2θ from 15° to 90°):
- 20.65 deg, I 40
- 23.89 deg, I 23
- 25.35 deg, I 100
- 29.34 deg, I 42
- 35.11 deg, I 83
- 36.16 deg, I 69
- 46.41 deg, I 47
- 55.84 deg, I 23
- 62.31 deg, I 28
- 70.35 deg, I 24

a b c (Å): 8.6024 8.6024 6.0883
angles (deg): 90.00 90.00 120.00
Space group P6_3/mcm (No. 193)
One atom of each set of equivalent atoms:
Mg 0.3333 0.6667 0.0000 (multiplicity 4)
Sc 0.0000 0.2355 0.2500 (multiplicity 6)
Pb 0.0000 0.3944 0.7500 (multiplicity 6)

# Sm4Mg6Pb7
Calculated powder X-ray diffraction pattern, Cu Kα X-rays. Input: the PBE geometry in Alexandria.
Kinematic intensities with the Lorentz-polarization factor, no thermal factor.

Main lines, sorted by position (2θ from 15° to 90°):
- 22.29 deg, I 67
- 31.73 deg, I 100
- 34.35 deg, I 57
- 36.80 deg, I 77
- 43.45 deg, I 18
- 53.02 deg, I 53
- 58.21 deg, I 18
- 63.12 deg, I 40
- 66.28 deg, I 18
- 89.79 deg, I 25

a b c (Å): 9.7697 9.7697 9.7697
angles (deg): 90.00 90.00 90.00
Space group Im-3m (No. 229)
One atom of each set of equivalent atoms:
Sm 0.2500 0.2500 0.2500 (multiplicity 8)
Mg 0.0000 0.0000 0.3006 (multiplicity 12)
Pb 0.0000 0.0000 0.0000 (multiplicity 2)
Pb 0.0000 0.2500 0.5000 (multiplicity 12)

# MgSn2Pb
Calculated powder X-ray diffraction pattern, Cu Kα X-rays. Input: the PBE geometry in Alexandria.
Kinematic intensities with the Lorentz-polarization factor, no thermal factor.

Main lines, sorted by position (2θ from 15° to 90°):
- 19.39 deg, I 25
- 26.01 deg, I 25
- 32.65 deg, I 100
- 34.73 deg, I 21
- 39.37 deg, I 30
- 53.50 deg, I 25
- 60.95 deg, I 17
- 67.16 deg, I 26
- 68.41 deg, I 12
- 88.18 deg, I 14

a b c (Å): 4.5772 4.5772 5.1655
angles (deg): 90.00 90.00 90.00
Space group P4/mmm (No. 123)
One atom of each set of equivalent atoms:
Mg 0.0000 0.0000 0.0000 (multiplicity 1)
Sn 0.0000 0.5000 0.5000 (multiplicity 2)
Pb 0.5000 0.5000 0.0000 (multiplicity 1)

# Mg10Sn3Pb3
Calculated powder X-ray diffraction pattern, Cu Kα X-rays. Input: the PBE geometry in Alexandria.
Kinematic intensities with the Lorentz-polarization factor, no thermal factor.

Main lines, sorted by position (2θ from 15° to 90°):
- 20.15 deg, I 34
- 23.31 deg, I 28
- 25.24 deg, I 100
- 30.36 deg, I 29
- 34.62 deg, I 68
- 35.27 deg, I 23
- 36.71 deg, I 34
- 38.62 deg, I 26
- 45.53 deg, I 48
- 69.34 deg, I 22

a b c (Å): 8.8147 8.8147 5.8874
angles (deg): 90.00 90.00 120.00
Space group P-62m (No. 189)
One atom of each set of equivalent atoms:
Mg 0.0000 0.2231 0.0000 (multiplicity 3)
Mg 0.0000 0.7795 0.5000 (multiplicity 3)
Mg 0.3333 0.6667 0.2466 (multiplicity 4)
Sn 0.0000 0.6032 0.0000 (multiplicity 3)
Pb 0.0000 0.4007 0.5000 (multiplicity 3)

# Mg2SnPb6
Calculated powder X-ray diffraction pattern, Cu Kα X-rays. Input: the PBE geometry in Alexandria.
Kinematic intensities with the Lorentz-polarization factor, no thermal factor.

Main lines, sorted by position (2θ from 15° to 90°):
- 21.11 deg, I 35
- 29.63 deg, I 63
- 29.85 deg, I 34
- 31.89 deg, I 41
- 32.92 deg, I 72
- 34.65 deg, I 100
- 36.66 deg, I 24
- 44.09 deg, I 31
- 52.58 deg, I 39
- 62.82 deg, I 36

a b c (Å): 3.4813 3.4813 25.2560
angles (deg): 90.00 90.00 120.00
Space group P-6m2 (No. 187)
One atom of each set of equivalent atoms:
Mg 0.0000 0.0000 0.1695 (multiplicity 2)
Sn 0.6667 0.3333 0.5000 (multiplicity 1)
Pb 0.0000 0.0000 0.3900 (multiplicity 2)
Pb 0.6667 0.3333 0.0695 (multiplicity 2)
Pb 0.6667 0.3333 0.2701 (multiplicity 2)

# Mg12SnPb6
Calculated powder X-ray diffraction pattern, Cu Kα X-rays. Input: the PBE geometry in Alexandria.
Kinematic intensities with the Lorentz-polarization factor, no thermal factor.

Main lines, sorted by position (2θ from 15° to 90°):
- 17.30 deg, I 12
- 22.74 deg, I 100
- 23.01 deg, I 35
- 26.40 deg, I 38
- 30.32 deg, I 12
- 37.51 deg, I 32
- 37.85 deg, I 35
- 43.07 deg, I 13
- 44.46 deg, I 20
- 57.55 deg, I 13

a b c (Å): 12.6892 12.6892 11.5932
angles (deg): 90.00 90.00 120.00
Space group R-3 (No. 148, hexagonal axes)
One atom of each set of equivalent atoms:
Mg 0.0405 0.2477 0.4421 (multiplicity 18)
Mg 0.0567 0.2488 0.9330 (multiplicity 18)
Sn 0.0000 0.0000 0.5000 (multiplicity 3)
Pb 0.0416 0.2003 0.1908 (multiplicity 18)

# Mg9Sn2Pb
Calculated powder X-ray diffraction pattern, Cu Kα X-rays. Input: the PBE geometry in Alexandria.
Kinematic intensities with the Lorentz-polarization factor, no thermal factor.

Main lines, sorted by position (2θ from 15° to 90°):
- 19.67 deg, I 86
- 27.95 deg, I 75
- 34.41 deg, I 100
- 39.95 deg, I 50
- 44.90 deg, I 44
- 49.46 deg, I 33
- 57.77 deg, I 34
- 61.64 deg, I 22
- 69.01 deg, I 40
- 79.44 deg, I 18

a b c (Å): 4.5133 4.5133 13.5444
angles (deg): 90.00 90.00 90.00
Space group P4/mmm (No. 123)
One atom of each set of equivalent atoms:
Mg 0.0000 0.0000 0.0000 (multiplicity 1)
Mg 0.0000 0.0000 0.3363 (multiplicity 2)
Mg 0.0000 0.5000 0.1713 (multiplicity 4)
Mg 0.0000 0.5000 0.5000 (multiplicity 2)
Sn 0.5000 0.5000 0.3347 (multiplicity 2)
Pb 0.5000 0.5000 0.0000 (multiplicity 1)

# Mg8SnPb4
Calculated powder X-ray diffraction pattern, Cu Kα X-rays. Input: the PBE geometry in Alexandria.
Kinematic intensities with the Lorentz-polarization factor, no thermal factor.

Main lines, sorted by position (2θ from 15° to 90°):
- 16.23 deg, I 20
- 20.56 deg, I 52
- 21.70 deg, I 29
- 22.17 deg, I 58
- 28.35 deg, I 54
- 32.37 deg, I 100
- 33.90 deg, I 28
- 35.55 deg, I 32
- 39.18 deg, I 27
- 40.27 deg, I 25

a b c (Å): 4.4787 4.5982 16.3790
angles (deg): 90.00 90.00 90.00
Space group Pmm2 (No. 25)
One atom of each set of equivalent atoms:
Mg 0.0000 0.0000 0.0000 (multiplicity 1)
Mg 0.0000 0.0000 0.2692 (multiplicity 1)
Mg 0.0000 0.5000 0.1393 (multiplicity 1)
Mg 0.0000 0.5000 0.5580 (multiplicity 1)
Mg 0.5000 0.0000 0.5609 (multiplicity 1)
Mg 0.5000 0.0000 0.8520 (multiplicity 1)
Mg 0.5000 0.5000 0.0016 (multiplicity 1)
Mg 0.5000 0.5000 0.7056 (multiplicity 1)
Sn 0.0000 0.0000 0.4412 (multiplicity 1)
Pb 0.0000 0.0000 0.7001 (multiplicity 1)
Pb 0.0000 0.5000 0.8647 (multiplicity 1)
Pb 0.5000 0.0000 0.1404 (multiplicity 1)
Pb 0.5000 0.5000 0.3815 (multiplicity 1)

# Mg5SnPb6
Calculated powder X-ray diffraction pattern, Cu Kα X-rays. Input: the PBE geometry in Alexandria.
Kinematic intensities with the Lorentz-polarization factor, no thermal factor.

Main lines, sorted by position (2θ from 15° to 90°):
- 23.15 deg, I 100
- 24.40 deg, I 44
- 32.85 deg, I 48
- 33.08 deg, I 48
- 33.68 deg, I 91
- 34.08 deg, I 88
- 41.34 deg, I 23
- 47.31 deg, I 36
- 59.20 deg, I 36
- 59.98 deg, I 18

a b c (Å): 9.0188 16.3578 5.4169
angles (deg): 90.00 126.00 90.00
Space group C2/m (No. 12)
One atom of each set of equivalent atoms:
Mg 0.0000 0.0000 0.0000 (multiplicity 2)
Mg 0.0000 0.1664 0.5000 (multiplicity 4)
Mg 0.0000 0.3383 0.0000 (multiplicity 4)
Sn 0.0000 0.5000 0.5000 (multiplicity 2)
Pb 0.2393 0.0000 0.7411 (multiplicity 4)
Pb 0.2459 0.1717 0.2454 (multiplicity 8)

# Mg3SnPb2
Calculated powder X-ray diffraction pattern, Cu Kα X-rays. Input: the PBE geometry in Alexandria.
Kinematic intensities with the Lorentz-polarization factor, no thermal factor.

Main lines, sorted by position (2θ from 15° to 90°):
- 23.20 deg, I 75
- 25.52 deg, I 30
- 33.00 deg, I 28
- 33.10 deg, I 29
- 34.76 deg, I 100
- 42.17 deg, I 17
- 47.44 deg, I 21
- 60.07 deg, I 21
- 60.20 deg, I 21
- 63.38 deg, I 18

a b c (Å): 5.4128 16.2874 6.9815
angles (deg): 90.00 90.00 90.00
Space group Cmmm (No. 65)
One atom of each set of equivalent atoms:
Mg 0.0000 0.0000 0.2455 (multiplicity 4)
Mg 0.0000 0.3281 0.2350 (multiplicity 8)
Sn 0.0000 0.1608 0.0000 (multiplicity 4)
Pb 0.0000 0.1663 0.5000 (multiplicity 4)
Pb 0.0000 0.5000 0.0000 (multiplicity 2)
Pb 0.0000 0.5000 0.5000 (multiplicity 2)